Record 1
Structure and calculated powder diffractogram of Y3Ho5N8 (a DFT-relaxed cell (GGA-PBE, Alexandria); Cu Kα (weighted mean of Kα1 and Kα2)).

```
data_Y3Ho5N8
_cell_length_a 6.9224
_cell_length_b 6.9224
_cell_length_c 16.9550
_cell_angle_alpha 90.00
_cell_angle_beta 90.00
_cell_angle_gamma 120.00
_space_group_name_H-M_alt 'R -3 m'
_space_group_IT_number 166
_space_group_name_Hall '-R 3 2"'
loop_
_atom_site_label
_atom_site_type_symbol
_atom_site_fract_x
_atom_site_fract_y
_atom_site_fract_z
_atom_site_occupancy
Y1 Y 0.0000 0.5000 0.0000 1
Ho1 Ho 0.0000 0.0000 0.0000 1
Ho2 Ho 0.0000 0.0000 0.5000 1
Ho3 Ho 0.0000 0.5000 0.5000 1
N1 N 0.0000 0.0000 0.2492 1
N2 N 0.0010 0.5005 0.7505 1
```

Most intense lines, 2θ from 10° to 80°, low angle first:
(0 0 3), 15.7°, I = 8; (0 1 2), 18.1°, I = 1; (0 2 1), 30.3°, I = 5; (2 0 2), 31.7°, I = 100; (0 2 4), 36.7°, I = 76; (2 0 5), 40.2°, I = 3; (0 2 7), 48.3°, I = 2; (2 2 0), 52.9°, I = 51; (2 2 3), 55.5°, I = 2; (2 2 6), 63.0°, I = 44; (4 0 4), 66.1°, I = 17; (0 4 8), 78.1°, I = 8

---

Record 2
Structure and calculated powder diffractogram of Y3HoN (a DFT-relaxed cell (GGA-PBE, Alexandria); Cu Kα (weighted mean of Kα1 and Kα2)).

```
data_Y3HoN
_cell_length_a 4.976
_cell_length_b 4.976
_cell_length_c 4.976
_cell_angle_alpha 90.00
_cell_angle_beta 90.00
_cell_angle_gamma 90.00
_space_group_name_H-M_alt 'P m -3 m'
_space_group_IT_number 221
_space_group_name_Hall '-P 4 2 3'
loop_
_atom_site_label
_atom_site_type_symbol
_atom_site_fract_x
_atom_site_fract_y
_atom_site_fract_z
_atom_site_occupancy
Y1 Y 0.000 0.000 0.500 1
Ho1 Ho 0.500 0.500 0.500 1
N1 N 0.000 0.000 0.000 1
```

Most intense lines, 2θ from 10° to 80°, low angle first:
(1 0 0), 17.8°, I = 5; (1 1 0), 25.3°, I = 10; (1 1 1), 31.1°, I = 100; (2 0 0), 36.1°, I = 57; (2 1 0), 40.5°, I = 3; (2 1 1), 44.6°, I = 5; (2 2 0), 52.0°, I = 39; (3 1 0), 58.7°, I = 2; (3 1 1), 61.8°, I = 42; (2 2 2), 64.9°, I = 13; (3 2 1), 70.9°, I = 2; (4 0 0), 76.6°, I = 6

---

Record 3
Structure and calculated powder diffractogram of Ho5ZrN6 (a DFT-relaxed cell (GGA-PBE, Alexandria); Cu Kα (weighted mean of Kα1 and Kα2)).

```
data_Ho5ZrN6
_cell_length_a 5.907
_cell_length_b 10.226
_cell_length_c 5.907
_cell_angle_alpha 90.00
_cell_angle_beta 109.48
_cell_angle_gamma 90.00
_space_group_name_H-M_alt 'C 1 2/m 1'
_space_group_IT_number 12
loop_
_space_group_symop_operation_xyz
'x,y,z'
'-x,-y,-z'
'-x,y,-z'
'x,-y,z'
'x+1/2,y+1/2,z'
'-x+1/2,-y+1/2,-z'
'-x+1/2,y+1/2,-z'
'x+1/2,-y+1/2,z'
loop_
_atom_site_label
_atom_site_type_symbol
_atom_site_fract_x
_atom_site_fract_y
_atom_site_fract_z
_atom_site_occupancy
Ho1 Ho 0.000 0.000 0.000 1
Ho2 Ho 0.000 0.167 0.500 1
Ho3 Ho 0.000 0.334 0.000 1
Zr1 Zr 0.000 0.500 0.500 1
N1 N 0.241 0.500 0.256 1
N2 N 0.242 0.339 0.743 1
```

Most intense lines, 2θ from 10° to 80°, low angle first:
(0 0 1), 15.9°, I = 1; (0 2 0), 17.3°, I = 1; (1 1 0), 18.1°, I = 1; (1 1 -1), 20.4°, I = 1; (0 2 1), 23.6°, I = 1; (2 0 0), 32.2°, I = 100; (1 3 1), 37.3°, I = 72; (2 0 2), 53.8°, I = 49; (3 3 1), 64.0°, I = 29; (2 6 0), 64.1°, I = 15; (4 0 0), 67.3°, I = 16; (2 6 2), 79.5°, I = 8

---

Record 4
Structure and calculated powder diffractogram of Ho5Zr3N8 (a DFT-relaxed cell (GGA-PBE, Alexandria); Cu Kα (weighted mean of Kα1 and Kα2)).

```
data_Ho5Zr3N8
_cell_length_a 6.7224
_cell_length_b 6.7224
_cell_length_c 16.5456
_cell_angle_alpha 90.00
_cell_angle_beta 90.00
_cell_angle_gamma 120.00
_space_group_name_H-M_alt 'R -3 m'
_space_group_IT_number 166
_space_group_name_Hall '-R 3 2"'
loop_
_atom_site_label
_atom_site_type_symbol
_atom_site_fract_x
_atom_site_fract_y
_atom_site_fract_z
_atom_site_occupancy
Ho1 Ho 0.0000 0.0000 0.0000 1
Ho2 Ho 0.0000 0.0000 0.5000 1
Ho3 Ho 0.0000 0.5000 0.0000 1
Zr1 Zr 0.0000 0.5000 0.5000 1
N1 N 0.0000 0.0000 0.2451 1
N2 N 0.0078 0.5039 0.7539 1
```

Most intense lines, 2θ from 10° to 80°, low angle first:
(0 0 3), 16.1°, I = 9; (0 2 1), 31.2°, I = 5; (0 0 6), 32.5°, I = 34; (2 0 2), 32.6°, I = 100; (0 2 4), 37.8°, I = 100; (2 0 5), 41.3°, I = 3; (2 0 8), 54.4°, I = 34; (2 2 0), 54.6°, I = 33; (0 2 10), 64.8°, I = 15; (2 2 6), 65.0°, I = 43; (0 0 12), 68.0°, I = 6; (4 0 4), 68.3°, I = 17

---

Record 5
Structure and calculated powder diffractogram of Na3NdHo2Se6 (a DFT-relaxed cell (GGA-PBE, Alexandria); Cu Kα (weighted mean of Kα1 and Kα2)).

```
data_Na3NdHo2Se6
_cell_length_a 7.243
_cell_length_b 12.547
_cell_length_c 7.416
_cell_angle_alpha 90.00
_cell_angle_beta 109.03
_cell_angle_gamma 90.00
_space_group_name_H-M_alt 'C 1 2/m 1'
_space_group_IT_number 12
loop_
_space_group_symop_operation_xyz
'x,y,z'
'-x,-y,-z'
'-x,y,-z'
'x,-y,z'
'x+1/2,y+1/2,z'
'-x+1/2,-y+1/2,-z'
'-x+1/2,y+1/2,-z'
'x+1/2,-y+1/2,z'
loop_
_atom_site_label
_atom_site_type_symbol
_atom_site_fract_x
_atom_site_fract_y
_atom_site_fract_z
_atom_site_occupancy
Na1 Na 0.000 0.000 0.000 1
Na2 Na 0.000 0.335 0.000 1
Nd1 Nd 0.000 0.500 0.500 1
Ho1 Ho 0.000 0.167 0.500 1
Se1 Se 0.235 0.000 0.731 1
Se2 Se 0.248 0.329 0.731 1
```

Most intense lines, 2θ from 10° to 80°, low angle first:
(0 0 1), 12.6°, I = 50; (1 3 0), 24.9°, I = 22; (1 3 1), 30.0°, I = 100; (2 0 -3), 38.9°, I = 13; (2 0 2), 42.5°, I = 37; (0 6 0), 43.3°, I = 36; (3 3 -2), 45.3°, I = 13; (4 0 0), 53.5°, I = 19; (2 6 2), 62.3°, I = 12; (3 3 3), 70.1°, I = 15; (4 6 0), 71.2°, I = 16; (5 3 1), 78.8°, I = 12

---

Record 6
Structure and calculated powder diffractogram of NaHoP2O7 (a DFT-relaxed cell (GGA-PBE, Alexandria); Cu Kα (weighted mean of Kα1 and Kα2)).

```
data_NaHoP2O7
_cell_length_a 8.751
_cell_length_b 5.442
_cell_length_c 14.175
_cell_angle_alpha 90.00
_cell_angle_beta 109.95
_cell_angle_gamma 90.00
_space_group_name_H-M_alt 'P 1 21/c 1'
_space_group_IT_number 14
loop_
_space_group_symop_operation_xyz
'x,y,z'
'-x,-y,-z'
'-x,y+1/2,-z+1/2'
'x,-y+1/2,z+1/2'
loop_
_atom_site_label
_atom_site_type_symbol
_atom_site_fract_x
_atom_site_fract_y
_atom_site_fract_z
_atom_site_occupancy
Na1 Na 0.059 0.223 0.335 1
Ho1 Ho 0.247 0.236 0.645 1
P1 P 0.187 0.719 0.475 1
P2 P 0.316 0.745 0.311 1
O1 O 0.028 0.704 0.893 1
O2 O 0.190 0.057 0.998 1
O3 O 0.218 0.532 0.753 1
O4 O 0.221 0.507 0.271 1
O5 O 0.232 0.622 0.068 1
O6 O 0.329 0.727 0.927 1
O7 O 0.490 0.738 0.313 1
```

Most intense lines, 2θ from 10° to 80°, low angle first:
(1 0 -2), 14.0°, I = 53; (1 1 0), 19.6°, I = 17; (0 1 2), 21.1°, I = 100; (2 0 0), 21.6°, I = 62; (2 1 -2), 26.8°, I = 28; (1 1 -4), 30.1°, I = 45; (3 0 -2), 30.7°, I = 22; (2 1 -4), 32.7°, I = 12; (0 2 0), 32.9°, I = 23; (2 1 2), 33.6°, I = 31; (0 2 4), 42.9°, I = 13; (3 2 -2), 45.7°, I = 13

---

Record 7
Structure and calculated powder diffractogram of NaHoPd6O8 (a DFT-relaxed cell (GGA-PBE, Alexandria); Cu Kα (weighted mean of Kα1 and Kα2)).

```
data_NaHoPd6O8
_cell_length_a 5.827
_cell_length_b 5.827
_cell_length_c 5.827
_cell_angle_alpha 90.00
_cell_angle_beta 90.00
_cell_angle_gamma 90.00
_space_group_name_H-M_alt 'P m -3'
_space_group_IT_number 200
_space_group_name_Hall '-P 2 2 3'
loop_
_atom_site_label
_atom_site_type_symbol
_atom_site_fract_x
_atom_site_fract_y
_atom_site_fract_z
_atom_site_occupancy
Na1 Na 0.000 0.000 0.000 1
Ho1 Ho 0.500 0.500 0.500 1
Pd1 Pd 0.000 0.250 0.500 1
O1 O 0.261 0.261 0.261 1
```

Most intense lines, 2θ from 10° to 80°, low angle first:
(1 0 0), 15.2°, I = 19; (1 1 1), 26.5°, I = 6; (2 0 0), 30.7°, I = 12; (2 0 1), 34.4°, I = 100; (2 1 1), 37.8°, I = 61; (2 2 2), 54.6°, I = 14; (3 2 0), 57.0°, I = 24; (3 1 2), 59.3°, I = 33; (4 0 0), 63.9°, I = 17; (4 2 0), 72.5°, I = 5; (4 1 2), 74.6°, I = 20; (3 3 2), 76.7°, I = 7

---

Record 8
Structure and calculated powder diffractogram of Na2HoPuO6 (a DFT-relaxed cell (GGA-PBE, Alexandria); Cu Kα (weighted mean of Kα1 and Kα2)).

```
data_Na2HoPuO6
_cell_length_a 5.8178
_cell_length_b 5.8178
_cell_length_c 14.4425
_cell_angle_alpha 90.00
_cell_angle_beta 90.00
_cell_angle_gamma 120.00
_space_group_name_H-M_alt 'R 3'
_space_group_IT_number 146
_space_group_name_Hall 'R 3'
loop_
_atom_site_label
_atom_site_type_symbol
_atom_site_fract_x
_atom_site_fract_y
_atom_site_fract_z
_atom_site_occupancy
Na1 Na 0.0000 0.0000 0.0000 1
Na2 Na 0.0000 0.0000 0.4806 1
Ho1 Ho 0.0000 0.0000 0.7408 1
Pu1 Pu 0.0000 0.0000 0.2409 1
O1 O 0.0236 0.6027 0.9883 1
O2 O 0.0876 0.3568 0.8269 1
```

Most intense lines, 2θ from 10° to 80°, low angle first:
(0 1 2), 21.5°, I = 100; (1 0 4), 30.5°, I = 55; (1 1 0), 30.7°, I = 49; (2 0 2), 37.8°, I = 15; (0 2 4), 43.8°, I = 29; (1 1 6), 49.1°, I = 25; (1 2 2), 49.5°, I = 21; (0 1 8), 54.0°, I = 11; (2 1 4), 54.5°, I = 23; (3 0 0), 54.6°, I = 14; (3 1 2), 68.4°, I = 9; (3 -2 8), 72.1°, I = 10

---

Record 9
Structure and calculated powder diffractogram of Na2Ho2PuO6 (a DFT-relaxed cell (GGA-PBE, Alexandria); Cu Kα (weighted mean of Kα1 and Kα2)).

```
data_Na2Ho2PuO6
_cell_length_a 5.957
_cell_length_b 10.330
_cell_length_c 5.937
_cell_angle_alpha 90.00
_cell_angle_beta 108.81
_cell_angle_gamma 90.00
_space_group_name_H-M_alt 'C 1 2/m 1'
_space_group_IT_number 12
loop_
_space_group_symop_operation_xyz
'x,y,z'
'-x,-y,-z'
'-x,y,-z'
'x,-y,z'
'x+1/2,y+1/2,z'
'-x+1/2,-y+1/2,-z'
'-x+1/2,y+1/2,-z'
'x+1/2,-y+1/2,z'
loop_
_atom_site_label
_atom_site_type_symbol
_atom_site_fract_x
_atom_site_fract_y
_atom_site_fract_z
_atom_site_occupancy
Na1 Na 0.000 0.170 0.000 1
Ho1 Ho 0.000 0.335 0.500 1
Pu1 Pu 0.000 0.000 0.500 1
O1 O 0.223 0.170 0.698 1
O2 O 0.248 0.500 0.696 1
```

Most intense lines, 2θ from 10° to 80°, low angle first:
(0 0 1), 15.8°, I = 100; (1 3 0), 30.4°, I = 35; (2 0 -1), 30.5°, I = 17; (2 0 0), 31.7°, I = 16; (0 0 2), 31.9°, I = 50; (1 3 1), 36.8°, I = 41; (2 0 -2), 37.2°, I = 20; (1 3 -2), 40.5°, I = 14; (1 3 2), 48.4°, I = 13; (0 6 0), 53.2°, I = 21; (1 3 -3), 53.4°, I = 13; (0 6 2), 63.3°, I = 10